(1)
# Li2CeNd2Ga2
Calculated X-ray powder pattern, Cu Kα. Input: a structure optimized by DFT (PBE).

Structure:
```
data_Li2CeNd2Ga2
_chemical_formula_sum 'Li6 Ce3 Nd6 Ga6'
_space_group_name_H-M_alt 'R -3 m'
_space_group_IT_number 166
_space_group_name_Hall '-R 3 2"'
_cell_length_a 4.7454
_cell_length_b 4.7454
_cell_length_c 25.6393
_cell_angle_alpha 90.00
_cell_angle_beta 90.00
_cell_angle_gamma 120.00
loop_
_atom_site_label
_atom_site_fract_x
_atom_site_fract_y
_atom_site_fract_z
_atom_site_occupancy
Li1 0.0000 0.0000 0.1087 1
Ce1 0.0000 0.0000 0.5000 1
Nd1 0.0000 0.0000 0.3747 1
Ga1 0.0000 0.0000 0.2343 1
```

Principal peaks in the range 5 to 70 degrees two-theta, sorted by position:
2theta, I/Imax, (hkl)
21.9, 100, 1 0 1
32.8, 68, 1 0 7
35.5, 82, 0 1 8
37.9, 81, 1 1 0
51.0, 19, 0 2 7
52.9, 26, 2 0 8
66.9, 25, 1 2 8
67.5, 21, 1 1 15

---

(2)
# AcNdHg2
Calculated X-ray powder pattern, Cu Kα. Input: a structure optimized by DFT (PBE).

Structure:
```
data_AcNdHg2
_chemical_formula_sum 'Ac4 Nd4 Hg8'
_space_group_name_H-M_alt 'C m c m'
_space_group_IT_number 63
_space_group_name_Hall '-C 2c 2'
_cell_length_a 7.8935
_cell_length_b 11.1868
_cell_length_c 5.5624
_cell_angle_alpha 90.00
_cell_angle_beta 90.00
_cell_angle_gamma 90.00
loop_
_atom_site_label
_atom_site_fract_x
_atom_site_fract_y
_atom_site_fract_z
_atom_site_occupancy
Ac1 0.0000 0.1250 0.2500 1
Nd1 0.0000 0.3745 0.7500 1
Hg1 0.2356 0.3781 0.2500 1
```

Principal peaks in the range 5 to 70 degrees two-theta, sorted by position:
2theta, I/Imax, (hkl)
32.1, 100, 0 4 0
32.2, 20, 0 0 2
46.0, 22, 0 4 2
57.1, 23, 2 6 1
57.3, 23, 2 2 3
66.9, 2, 0 8 0
67.1, 9, 4 4 2
67.3, 2, 0 0 4